Structure and computed PXRD pattern of SrTh2Cu6 (the PBE geometry in Alexandria; a wavelength of 1.5418 Å).

The 12 most intense peaks (2θ = 10–90°), by angle:
2θ 13.61, intensity 15; 2θ 23.68, intensity 24; 2θ 27.44, intensity 7; 2θ 33.78, intensity 100; 2θ 36.55, intensity 6; 2θ 41.63, intensity 46; 2θ 48.58, intensity 10; 2θ 54.66, intensity 31; 2θ 65.85, intensity 23; 2θ 70.98, intensity 26; 2θ 75.98, intensity 7; 2θ 81.12, intensity 8

Structure:
```
SrTh2Cu6
1.0
7.515 0.000 0.000
-3.758 6.508 0.000
0.000 0.000 3.748
Sr Th Cu
1 2 6
Cartesian
0.000 0.000 0.000
0.000 4.339 0.000
3.758 2.169 0.000
-1.267 2.194 1.874
-2.491 4.314 1.874
2.534 0.000 1.874
1.267 2.194 1.874
4.981 0.000 1.874
2.491 4.314 1.874
```

Structure and computed PXRD pattern of Sr4YCu (the PBE geometry in Alexandria; a wavelength of 1.5418 Å).

The 12 most intense peaks (2θ = 10–90°), by angle:
2θ 14.90, intensity 8; 2θ 24.44, intensity 23; 2θ 28.74, intensity 100; 2θ 30.05, intensity 44; 2θ 43.02, intensity 10; 2θ 45.77, intensity 36; 2θ 50.09, intensity 32; 2θ 58.78, intensity 13; 2θ 59.53, intensity 18; 2θ 70.18, intensity 22; 2θ 80.80, intensity 12; 2θ 81.45, intensity 8

Structure:
```
Sr4YCu
1.0
0.000 5.151 5.151
5.151 0.000 5.151
5.151 5.151 0.000
Sr Y Cu
4 1 1
Cartesian
1.283 1.283 1.283
3.868 3.868 1.283
3.868 1.283 3.868
1.283 3.868 3.868
7.726 7.726 7.726
5.151 5.151 5.151
```

Structure and computed PXRD pattern of Sr3YCu (the PBE geometry in Alexandria; a wavelength of 1.5418 Å).

The 12 most intense peaks (2θ = 10–90°), by angle:
2θ 14.88, intensity 13; 2θ 21.11, intensity 14; 2θ 25.92, intensity 88; 2θ 30.02, intensity 100; 2θ 42.97, intensity 74; 2θ 50.87, intensity 41; 2θ 53.31, intensity 26; 2θ 62.40, intensity 12; 2θ 68.73, intensity 17; 2θ 70.78, intensity 32; 2θ 78.75, intensity 24; 2θ 84.58, intensity 13

Structure:
```
Sr3YCu
1.0
5.953 0.000 0.000
0.000 5.953 0.000
0.000 0.000 5.953
Sr Y Cu
3 1 1
Cartesian
0.000 0.000 2.977
0.000 2.977 0.000
2.977 0.000 0.000
2.977 2.977 2.977
0.000 0.000 0.000
```